Diffraction record for NdEuTe2. The X-ray diffraction stick pattern is computed, not measured: it uses DFT lattice parameters and positions (GGA-PBE) and copper Kα.

Largest 10 diffraction maxima, sorted by position, 10° ≤ 2θ ≤ 90°:
- 22.59 deg, intensity 1
- 32.17 deg, intensity 100
- 46.05 deg, intensity 6
- 46.18 deg, intensity 12
- 57.35 deg, intensity 38
- 67.26 deg, intensity 8
- 67.36 deg, intensity 4
- 76.42 deg, intensity 5
- 76.63 deg, intensity 11
- 85.47 deg, intensity 4

Structure:
Lattice parameters (Å, degrees): 3.9318 3.9318 7.8844 90.00 90.00 90.00
Sites, in units of the cell vectors:
Nd 0.0000 0.0000 0.0000
Eu 0.0000 0.0000 0.5000
Te 0.5000 0.5000 0.2410
Te 0.5000 0.5000 0.7590

=====

Diffraction record for NdEu2Th. The X-ray diffraction stick pattern is computed, not measured: it uses DFT lattice parameters and positions (GGA-PBE) and copper Kα.

Largest 10 diffraction maxima, sorted by position, 10° ≤ 2θ ≤ 90°:
- 27.00 deg, intensity 69
- 29.02 deg, intensity 46
- 29.29 deg, intensity 100
- 34.23 deg, intensity 19
- 36.91 deg, intensity 71
- 38.40 deg, intensity 27
- 43.37 deg, intensity 24
- 51.27 deg, intensity 38
- 58.89 deg, intensity 48
- 59.40 deg, intensity 22

Structure:
Lattice parameters (Å, degrees): 13.3708 13.3708 13.3708 15.32 15.32 15.32
Sites, in units of the cell vectors:
Nd 0.0000 0.0000 0.0000
Eu 0.4127 0.4127 0.4127
Eu 0.5873 0.5873 0.5873
Th 0.5000 0.5000 0.5000

=====

Diffraction record for NdEuZn2. The X-ray diffraction stick pattern is computed, not measured: it uses DFT lattice parameters and positions (GGA-PBE) and copper Kα.

Largest 10 diffraction maxima, sorted by position, 10° ≤ 2θ ≤ 90°:
- 24.01 deg, intensity 15
- 34.07 deg, intensity 100
- 34.21 deg, intensity 49
- 48.75 deg, intensity 9
- 49.15 deg, intensity 18
- 60.90 deg, intensity 18
- 61.16 deg, intensity 36
- 71.74 deg, intensity 11
- 81.55 deg, intensity 8
- 82.20 deg, intensity 15

Structure:
Lattice parameters (Å, degrees): 5.2426 5.2426 3.7356 90.00 90.00 90.00
Sites, in units of the cell vectors:
Nd 0.0000 0.0000 0.0000
Eu 0.5000 0.5000 0.0000
Zn 0.0000 0.5000 0.5000
Zn 0.5000 0.0000 0.5000

=====

Copy entry 2 word for word.
Diffraction record for NdEu2Th. The X-ray diffraction stick pattern is computed, not measured: it uses DFT lattice parameters and positions (GGA-PBE) and copper Kα.

Largest 10 diffraction maxima, sorted by position, 10° ≤ 2θ ≤ 90°:
- 27.00 deg, intensity 69
- 29.02 deg, intensity 46
- 29.29 deg, intensity 100
- 34.23 deg, intensity 19
- 36.91 deg, intensity 71
- 38.40 deg, intensity 27
- 43.37 deg, intensity 24
- 51.27 deg, intensity 38
- 58.89 deg, intensity 48
- 59.40 deg, intensity 22

Structure:
Lattice parameters (Å, degrees): 13.3708 13.3708 13.3708 15.32 15.32 15.32
Sites, in units of the cell vectors:
Nd 0.0000 0.0000 0.0000
Eu 0.4127 0.4127 0.4127
Eu 0.5873 0.5873 0.5873
Th 0.5000 0.5000 0.5000

=====

Question: What is the formula in the third record?
Answer: NdEuZn2